Theoretical powder diffraction line list of Tb5Pr6Er for Cu Kα (weighted mean of Kα1 and Kα2), from a DFT-relaxed cell (PBE, Alexandria).
No peak broadening, texture or thermal motion is included.

Structure:
a = 6.316 Å, b = 6.316 Å, c = 11.914 Å
α = 95.06°, β = 95.06°, γ = 120.00°
Positions (direct):
Tb1 0.000 0.000 0.000
Tb2 0.167 0.833 0.500
Tb3 0.333 0.667 0.000
Tb4 0.667 0.333 0.000
Tb5 0.833 0.167 0.500
Pr1 0.083 0.416 0.251
Pr2 0.251 0.251 0.750
Pr3 0.416 0.083 0.251
Pr4 0.584 0.917 0.749
Pr5 0.749 0.749 0.250
Pr6 0.917 0.584 0.749
Er1 0.500 0.500 0.500

Peak list (10 most intense, 2θ = 15–90°, in order of rising 2θ)
30.07°, intensity 100
30.49°, intensity 32
34.98°, intensity 67
50.03°, intensity 24
50.58°, intensity 24
59.48°, intensity 14
59.72°, intensity 29
60.22°, intensity 14
62.50°, intensity 12
81.35°, intensity 12

---

Theoretical powder diffraction line list of Te8Se for Cu Kα (weighted mean of Kα1 and Kα2), from a DFT-relaxed cell (PBE, Alexandria).
No peak broadening, texture or thermal motion is included.

Structure:
a = 7.886 Å, b = 7.886 Å, c = 7.886 Å
α = 94.75°, β = 94.75°, γ = 146.56°
Positions (direct):
Te1 0.000 0.334 0.334
Te2 0.000 0.666 0.666
Te3 0.334 0.000 0.334
Te4 0.359 0.359 0.717
Te5 0.359 0.641 0.000
Te6 0.641 0.359 0.000
Te7 0.641 0.641 0.283
Te8 0.666 0.000 0.666
Se1 0.000 0.000 0.000

Peak list (10 most intense, 2θ = 15–90°, in order of rising 2θ)
31.95°, intensity 100
35.66°, intensity 34
39.73°, intensity 15
47.01°, intensity 7
51.32°, intensity 9
54.44°, intensity 20
61.74°, intensity 20
66.79°, intensity 8
67.25°, intensity 11
89.33°, intensity 7

---

Theoretical powder diffraction line list of Li6Ga2Au3 for Cu Kα (weighted mean of Kα1 and Kα2), from a DFT-relaxed cell (PBE, Alexandria).
No peak broadening, texture or thermal motion is included.

Structure:
a = 13.549 Å, b = 13.549 Å, c = 13.549 Å
α = 164.09°, β = 164.09°, γ = 22.58°
Positions (direct):
Li1 0.117 0.617 0.500
Li2 0.211 0.211 0.000
Li3 0.383 0.883 0.500
Li4 0.617 0.117 0.500
Li5 0.789 0.789 0.000
Li6 0.883 0.383 0.500
Ga1 0.047 0.047 0.000
Ga2 0.953 0.953 0.000
Au1 0.312 0.312 0.000
Au2 0.500 0.500 0.000
Au3 0.688 0.688 0.000

Peak list (10 most intense, 2θ = 15–90°, in order of rising 2θ)
20.05°, intensity 38
23.96°, intensity 22
25.79°, intensity 29
29.14°, intensity 100
33.79°, intensity 69
39.61°, intensity 30
44.61°, intensity 54
48.53°, intensity 35
57.60°, intensity 39
68.04°, intensity 31

---

Theoretical powder diffraction line list of PrP3Pt6 for Cu Kα (weighted mean of Kα1 and Kα2), from a DFT-relaxed cell (PBE, Alexandria).
No peak broadening, texture or thermal motion is included.

Structure:
a = 6.334 Å, b = 6.334 Å, c = 6.334 Å
α = 60.34°, β = 60.34°, γ = 60.34°
Positions (direct):
Pr1 0.000 0.000 0.000
P1 0.292 0.292 0.292
P2 0.559 0.559 0.559
P3 0.809 0.809 0.809
Pt1 0.202 0.438 0.902
Pt2 0.438 0.902 0.202
Pt3 0.506 0.581 0.979
Pt4 0.581 0.979 0.506
Pt5 0.902 0.202 0.438
Pt6 0.979 0.506 0.581

Peak list (10 most intense, 2θ = 15–90°, in order of rising 2θ)
28.03°, intensity 95
33.02°, intensity 100
34.54°, intensity 61
34.78°, intensity 74
40.16°, intensity 56
43.98°, intensity 33
45.05°, intensity 49
45.25°, intensity 63
49.67°, intensity 47
60.90°, intensity 37

---

Theoretical powder diffraction line list of Th4Si2Tc for Cu Kα (weighted mean of Kα1 and Kα2), from a DFT-relaxed cell (PBE, Alexandria).
No peak broadening, texture or thermal motion is included.

Structure:
a = 7.981 Å, b = 7.981 Å, c = 7.981 Å
α = 110.84°, β = 110.74°, γ = 106.87°
Positions (direct):
Th1 0.192 0.240 0.548
Th2 0.192 0.645 0.952
Th3 0.240 0.192 0.048
Th4 0.355 0.808 0.548
Th5 0.645 0.192 0.452
Th6 0.760 0.808 0.952
Th7 0.808 0.355 0.048
Th8 0.808 0.760 0.452
Si1 0.000 0.500 0.500
Si2 0.500 0.000 0.000
Si3 0.500 0.500 0.000
Si4 0.500 0.500 0.500
Tc1 0.125 0.875 0.250
Tc2 0.875 0.125 0.750

Peak list (10 most intense, 2θ = 15–90°, in order of rising 2θ)
27.18°, intensity 100
27.84°, intensity 75
29.86°, intensity 81
31.06°, intensity 66
36.98°, intensity 26
39.77°, intensity 36
46.08°, intensity 33
46.60°, intensity 25
49.83°, intensity 30
72.67°, intensity 27

---

Question: Number 2 is which compound?
Answer: Te8Se